Starting from a crystal structure in Alexandria, relaxed with GGA-PBE, the PXRD pattern of SmRhO3 was simulated for CuKα.
No peak broadening, texture or thermal motion is included.

Cell and atoms:
Lattice parameters (Å, degrees): 5.8889 7.7667 5.3528 90.00 90.00 90.00
Atoms (fractional coordinates):
1 Sm 0.0822 0.2500 0.0290
2 Sm 0.4178 0.7500 0.5290
3 Sm 0.5822 0.2500 0.4710
4 Sm 0.9178 0.7500 0.9710
5 Rh 0.0000 0.0000 0.5000
6 Rh 0.0000 0.5000 0.5000
7 Rh 0.5000 0.0000 0.0000
8 Rh 0.5000 0.5000 0.0000
9 O 0.0437 0.7500 0.3767
10 O 0.1930 0.5580 0.8202
11 O 0.1930 0.9420 0.8202
12 O 0.3070 0.0580 0.3202
13 O 0.3070 0.4420 0.3202
14 O 0.4563 0.2500 0.8767
15 O 0.5437 0.7500 0.1233
16 O 0.6930 0.5580 0.6798
17 O 0.6930 0.9420 0.6798
18 O 0.8070 0.0580 0.1798
19 O 0.8070 0.4420 0.1798
20 O 0.9563 0.2500 0.6233

Largest 10 diffraction maxima, sorted by position, 15 to 90 degrees two-theta:
2θ = 25.24°, I 199
2θ = 30.36°, I 181
2θ = 32.28°, I 1000
2θ = 32.52°, I 128
2θ = 33.48°, I 240
2θ = 45.82°, I 146
2θ = 46.76°, I 211
2θ = 50.93°, I 143
2θ = 58.73°, I 158
2θ = 59.10°, I 199

Starting from a crystal structure in Alexandria, relaxed with GGA-PBE, the PXRD pattern of SrLiCe2Au4 was simulated for CuKα.
No peak broadening, texture or thermal motion is included.

Cell and atoms:
Lattice parameters (Å, degrees): 9.1659 9.1659 9.1659 32.46 32.46 32.46
Atoms (fractional coordinates):
1 Sr 0.0000 0.0000 0.0000
2 Li 0.5000 0.5000 0.5000
3 Ce 0.2396 0.2396 0.2396
4 Ce 0.7604 0.7604 0.7604
5 Au 0.1234 0.1234 0.1234
6 Au 0.3912 0.3912 0.3912
7 Au 0.6088 0.6088 0.6088
8 Au 0.8766 0.8766 0.8766

Largest 10 diffraction maxima, sorted by position, 15 to 90 degrees two-theta:
2θ = 20.47°, I 161
2θ = 24.28°, I 284
2θ = 34.18°, I 790
2θ = 35.03°, I 1000
2θ = 40.92°, I 170
2θ = 49.75°, I 276
2θ = 62.29°, I 282
2θ = 62.84°, I 186
2θ = 74.02°, I 116
2θ = 84.11°, I 126

Starting from a crystal structure in Alexandria, relaxed with GGA-PBE, the PXRD pattern of AcMg6Sn2 was simulated for CuKα.
No peak broadening, texture or thermal motion is included.

Cell and atoms:
Lattice parameters (Å, degrees): 4.6163 4.6163 10.9314 90.00 90.00 90.00
Atoms (fractional coordinates):
1 Ac 0.0000 0.0000 0.0000
2 Mg 0.0000 0.0000 0.5000
3 Mg 0.0000 0.5000 0.3006
4 Mg 0.0000 0.5000 0.6994
5 Mg 0.5000 0.0000 0.3006
6 Mg 0.5000 0.0000 0.6994
7 Mg 0.5000 0.5000 0.5000
8 Sn 0.5000 0.5000 0.1355
9 Sn 0.5000 0.5000 0.8645

Largest 10 diffraction maxima, sorted by position, 15 to 90 degrees two-theta:
2θ = 25.25°, I 607
2θ = 27.32°, I 665
2θ = 28.54°, I 920
2θ = 31.27°, I 1000
2θ = 31.93°, I 556
2θ = 38.27°, I 681
2θ = 39.02°, I 594
2θ = 39.92°, I 260
2θ = 50.83°, I 530
2θ = 55.81°, I 469

Starting from a crystal structure in Alexandria, relaxed with GGA-PBE, the PXRD pattern of NaCd2GeS4 was simulated for CuKα.
No peak broadening, texture or thermal motion is included.

Cell and atoms:
Lattice parameters (Å, degrees): 7.1354 7.1350 6.0639 64.86 64.85 50.29
Atoms (fractional coordinates):
1 Na 0.0000 0.0000 0.0000
2 Cd 0.2497 0.2497 0.2503
3 Cd 0.7497 0.7497 0.7503
4 Ge 0.4995 0.4995 0.5005
5 S 0.1489 0.6022 0.8511
6 S 0.3975 0.8500 0.1500
7 S 0.6022 0.1489 0.3978
8 S 0.8500 0.3975 0.6025

Largest 10 diffraction maxima, sorted by position, 15 to 90 degrees two-theta:
2θ = 15.54°, I 107
2θ = 20.72°, I 109
2θ = 26.00°, I 1000
2θ = 29.46°, I 114
2θ = 42.15°, I 211
2θ = 43.57°, I 391
2θ = 50.19°, I 303
2θ = 52.67°, I 133
2θ = 69.64°, I 108
2θ = 78.04°, I 119

Starting from a crystal structure in Alexandria, relaxed with GGA-PBE, the PXRD pattern of Ac2TlGa2 was simulated for CuKα.
No peak broadening, texture or thermal motion is included.

Cell and atoms:
Lattice parameters (Å, degrees): 7.7643 7.7643 4.6674 90.00 90.00 147.75
Atoms (fractional coordinates):
1 Ac 0.1315 0.8685 0.0000
2 Ac 0.8685 0.1315 0.0000
3 Tl 0.5000 0.5000 0.5000
4 Ga 0.2963 0.7037 0.5000
5 Ga 0.7037 0.2963 0.5000

Largest 10 diffraction maxima, sorted by position, 15 to 90 degrees two-theta:
2θ = 27.38°, I 365
2θ = 28.82°, I 1000
2θ = 30.69°, I 700
2θ = 36.63°, I 316
2θ = 38.58°, I 247
2θ = 41.90°, I 197
2θ = 47.95°, I 166
2θ = 52.83°, I 347
2θ = 54.25°, I 207
2θ = 63.91°, I 172

Starting from a crystal structure in Alexandria, relaxed with GGA-PBE, the PXRD pattern of TiRhSN2 was simulated for CuKα.
No peak broadening, texture or thermal motion is included.

Cell and atoms:
Lattice parameters (Å, degrees): 3.8025 3.8025 4.9366 90.00 90.00 90.00
Atoms (fractional coordinates):
1 Ti 0.0000 0.0000 0.0000
2 Rh 0.5000 0.5000 0.5000
3 S 0.5000 0.5000 0.0000
4 N 0.0000 0.5000 0.5000
5 N 0.5000 0.0000 0.5000

Largest 10 diffraction maxima, sorted by position, 15 to 90 degrees two-theta:
2θ = 17.97°, I 163
2θ = 23.39°, I 544
2θ = 29.65°, I 1000
2θ = 33.32°, I 642
2θ = 36.40°, I 450
2θ = 43.72°, I 196
2θ = 47.84°, I 386
2θ = 50.17°, I 398
2θ = 57.30°, I 300
2θ = 61.57°, I 340